The following is a calculated XRD peak list of Sm3Sb2S. It was derived from a DFT-relaxed cell (PBE, OQMD), using Cu Kα (weighted mean of Kα1 and Kα2).
Kinematic intensities with the Lorentz-polarization factor, no thermal factor.

Atomic structure:
```
data_Sm3Sb2S
_space_group_name_H-M_alt 'P 1'
_space_group_IT_number 1
_space_group_name_Hall 'P 1'
_cell_length_a 4.323
_cell_length_b 4.323
_cell_length_c 10.586
_cell_angle_alpha 90.00
_cell_angle_beta 90.00
_cell_angle_gamma 120.00
loop_
_atom_site_label
_atom_site_type_symbol
_atom_site_fract_x
_atom_site_fract_y
_atom_site_fract_z
Sm1 Sm 0.000 0.000 0.000
Sm2 Sm 0.333 0.667 0.647
Sm3 Sm 0.667 0.333 0.353
Sb1 Sb 0.333 0.667 0.177
Sb2 Sb 0.667 0.333 0.823
S1 S 0.000 0.000 0.500
```

Largest 10 diffraction maxima, sorted by position, 2θ from 10° to 90°:
2θ (°)	intensity	hkl
25.23	15.1	1 0 1
29.22	100.0	0 1 2
34.94	6.7	1 0 3
41.79	71.0	1 1 0
49.45	5.9	0 2 1
51.80	25.0	2 0 2
60.58	11.0	0 2 4
66.70	5.8	0 1 7
68.66	29.8	1 2 2
76.31	21.3	3 0 0